1.
Structure and theoretical PXRD pattern of Fe5O2F8 (a cell relaxed with PBE+U; CuKα).
Neutral-atom scattering factors, no anomalous dispersion.

Cell lengths 7.9945, 4.7889, 10.7009 Å; angles 90.00, 116.24, 90.00 degrees
Atoms (fractional coordinates):
Fe  0.0000  0.0000  0.0000
Fe  0.0000  0.5000  0.5000
Fe  0.2093  0.0133  0.8179
Fe  0.2093  0.4867  0.3179
Fe  0.3847  0.0267  0.5956
Fe  0.3847  0.4733  0.0956
Fe  0.6153  0.5267  0.9044
Fe  0.6153  0.9733  0.4044
Fe  0.7907  0.5133  0.6821
Fe  0.7907  0.9867  0.1821
O  0.2029  0.1762  0.9820
O  0.2029  0.3238  0.4820
O  0.7971  0.6762  0.5180
O  0.7971  0.8238  0.0180
F  0.0197  0.2107  0.1761
F  0.0197  0.2893  0.6761
F  0.1794  0.6988  0.1369
F  0.1794  0.8012  0.6369
F  0.3786  0.6939  0.9198
F  0.3786  0.8061  0.4198
F  0.4221  0.2043  0.7917
F  0.4221  0.2957  0.2917
F  0.5779  0.7043  0.7083
F  0.5779  0.7957  0.2083
F  0.6214  0.1939  0.5802
F  0.6214  0.3061  0.0802
F  0.8206  0.1988  0.3631
F  0.8206  0.3012  0.8631
F  0.9803  0.7107  0.3239
F  0.9803  0.7893  0.8239

Largest 8 diffraction maxima, in order of rising 2θ, 2θ = 10–90°:
2θ 26.25, I = 100
2θ 33.75, I = 54
2θ 38.75, I = 20
2θ 51.24, I = 30
2θ 51.36, I = 31
2θ 54.02, I = 18
2θ 64.59, I = 12
2θ 65.38, I = 11

2.
Structure and theoretical PXRD pattern of Fe6OF11 (a cell relaxed with PBE+U; CuKα).
Neutral-atom scattering factors, no anomalous dispersion.

Cell lengths 9.7864, 4.8217, 4.8217 Å; angles 90.89, 90.00, 90.00 degrees
Atoms (fractional coordinates):
Fe  0.0000  0.0000  0.0000
Fe  0.1529  0.5309  0.5309
Fe  0.3337  0.0265  0.0265
Fe  0.5000  0.5247  0.5247
Fe  0.6663  0.0265  0.0265
Fe  0.8471  0.5309  0.5309
O  0.0000  0.7130  0.7130
F  0.0000  0.3049  0.3049
F  0.1739  0.2292  0.8119
F  0.1739  0.8119  0.2292
F  0.3278  0.3296  0.3296
F  0.3277  0.7216  0.7216
F  0.5000  0.2266  0.8240
F  0.5000  0.8240  0.2266
F  0.6722  0.3296  0.3296
F  0.6723  0.7216  0.7216
F  0.8261  0.2292  0.8119
F  0.8261  0.8119  0.2292

Largest 8 diffraction maxima, in order of rising 2θ, 2θ = 10–90°:
2θ 25.93, I = 84
2θ 26.35, I = 84
2θ 33.16, I = 100
2θ 38.04, I = 20
2θ 50.52, I = 56
2θ 50.99, I = 55
2θ 53.33, I = 20
2θ 64.66, I = 39

3.
Structure and theoretical PXRD pattern of Fe5O8F2 (a cell relaxed with PBE+U; CuKα).
Neutral-atom scattering factors, no anomalous dispersion.

Cell lengths 4.6104, 7.5767, 9.7412 Å; angles 70.48, 88.44, 89.59 degrees
Atoms (fractional coordinates):
Fe  0.0000  0.0000  0.0000
Fe  0.0023  0.4164  0.7991
Fe  0.0095  0.6013  0.2062
Fe  0.0159  0.2041  0.4080
Fe  0.0236  0.7966  0.5956
Fe  0.4689  0.1159  0.6929
Fe  0.4755  0.2997  0.0914
Fe  0.4885  0.7033  0.9128
Fe  0.5145  0.5080  0.4958
Fe  0.5387  0.9068  0.3071
O  0.1796  0.2362  0.9740
O  0.1899  0.6559  0.7717
O  0.2000  0.0333  0.5798
O  0.2046  0.4434  0.3771
O  0.2937  0.5365  0.0871
O  0.2984  0.9500  0.8785
O  0.3041  0.3544  0.6689
O  0.3205  0.1405  0.2788
O  0.3242  0.7416  0.4710
O  0.6790  0.4611  0.9251
O  0.6988  0.2703  0.5204
O  0.7007  0.0653  0.1217
O  0.7092  0.6659  0.3200
O  0.7977  0.5747  0.6156
O  0.8183  0.7630  0.0326
O  0.8270  0.9633  0.4303
F  0.2106  0.8412  0.1825
F  0.7006  0.8703  0.7266
F  0.7932  0.1646  0.8154
F  0.8102  0.3629  0.2241

Largest 8 diffraction maxima, in order of rising 2θ, 2θ = 10–90°:
2θ 26.96, I = 100
2θ 27.66, I = 97
2θ 35.53, I = 52
2θ 35.66, I = 26
2θ 35.84, I = 26
2θ 53.23, I = 29
2θ 61.72, I = 16
2θ 68.29, I = 25

4.
Structure and theoretical PXRD pattern of Fe10O11F9 (a cell relaxed with PBE+U; CuKα).
Neutral-atom scattering factors, no anomalous dispersion.

Cell lengths 4.6405, 4.6405, 15.1180 Å; angles 90.04, 90.04, 93.28 degrees
Atoms (fractional coordinates):
Fe  0.0000  0.0000  0.0000
Fe  0.0223  0.9760  0.3981
Fe  0.0240  0.9777  0.6019
Fe  0.5113  0.4370  0.1014
Fe  0.5225  0.4775  0.5000
Fe  0.5234  0.4733  0.2922
Fe  0.5267  0.4766  0.7078
Fe  0.5630  0.4887  0.8986
Fe  0.9979  0.0008  0.2049
Fe  0.9992  0.0021  0.7951
O  0.1920  0.1608  0.1029
O  0.2125  0.1853  0.2998
O  0.2170  0.1819  0.7009
O  0.2222  0.1746  0.4999
O  0.7047  0.2852  0.1995
O  0.7148  0.2953  0.8005
O  0.7181  0.2819  0.0000
O  0.8147  0.7875  0.7002
O  0.8181  0.7830  0.2991
O  0.8254  0.7778  0.5001
O  0.8392  0.8080  0.8971
F  0.2219  0.1924  0.8973
F  0.3114  0.6814  0.1988
F  0.3186  0.6886  0.8012
F  0.3297  0.6703  0.0000
F  0.3320  0.6664  0.6044
F  0.3336  0.6680  0.3956
F  0.7133  0.2859  0.3963
F  0.7141  0.2867  0.6037
F  0.8076  0.7781  0.1027

Largest 8 diffraction maxima, in order of rising 2θ, 2θ = 10–90°:
2θ 26.42, I = 99
2θ 28.01, I = 92
2θ 35.45, I = 100
2θ 52.71, I = 61
2θ 54.38, I = 17
2θ 54.52, I = 51
2θ 61.32, I = 17
2θ 68.19, I = 38

5.
Structure and theoretical PXRD pattern of Fe5O8F2 (a cell relaxed with PBE+U; CuKα).
Neutral-atom scattering factors, no anomalous dispersion.

Cell lengths 4.6385, 4.6387, 15.7596 Å; angles 90.00, 106.73, 90.00 degrees
Atoms (fractional coordinates):
Fe  0.0000  0.0000  0.0000
Fe  0.0000  0.5000  0.5000
Fe  0.2092  0.0064  0.2052
Fe  0.2092  0.4936  0.7052
Fe  0.4248  0.5232  0.9009
Fe  0.4248  0.9768  0.4009
Fe  0.5752  0.0232  0.5991
Fe  0.5752  0.4768  0.0991
Fe  0.7908  0.5064  0.2948
Fe  0.7908  0.9936  0.7948
O  0.1155  0.6981  0.8021
O  0.1155  0.8019  0.3021
O  0.2761  0.1804  0.1000
O  0.2761  0.3196  0.6000
O  0.3067  0.6932  0.0000
O  0.3067  0.8068  0.5000
O  0.4913  0.6887  0.1957
O  0.4913  0.8113  0.6957
O  0.5087  0.1887  0.3043
O  0.5087  0.3113  0.8043
O  0.6933  0.1932  0.5000
O  0.6933  0.3068  0.0000
O  0.7239  0.6804  0.4000
O  0.7239  0.8196  0.9000
O  0.8845  0.1981  0.6979
O  0.8845  0.3019  0.1979
F  0.1067  0.2029  0.8992
F  0.1067  0.2971  0.3992
F  0.8933  0.7029  0.6008
F  0.8933  0.7971  0.1008

Largest 8 diffraction maxima, in order of rising 2θ, 2θ = 10–90°:
2θ 27.19, I = 100
2θ 35.37, I = 13
2θ 35.48, I = 26
2θ 35.60, I = 13
2θ 53.48, I = 29
2θ 53.73, I = 29
2θ 56.08, I = 16
2θ 68.32, I = 11

6.
Structure and theoretical PXRD pattern of Fe4O7F (a cell relaxed with PBE+U; CuKα).
Neutral-atom scattering factors, no anomalous dispersion.

Cell lengths 4.6175, 4.6175, 12.0450 Å; angles 90.00, 90.00, 91.94 degrees
Atoms (fractional coordinates):
Fe  0.0000  0.0000  0.0000
Fe  0.0000  0.0000  0.5000
Fe  0.0271  0.9729  0.7500
Fe  0.4992  0.5008  0.6208
Fe  0.4992  0.5008  0.8792
Fe  0.5008  0.4992  0.1208
Fe  0.5008  0.4992  0.3792
Fe  0.9729  0.0271  0.2500
O  0.1841  0.2022  0.1258
O  0.1841  0.2022  0.3742
O  0.2022  0.1841  0.6258
O  0.2022  0.1841  0.8742
O  0.3055  0.6945  0.0024
O  0.3055  0.6945  0.4976
O  0.3260  0.6740  0.7500
O  0.6740  0.3260  0.2500
O  0.6945  0.3055  0.5024
O  0.6945  0.3055  0.9976
O  0.7978  0.8159  0.1258
O  0.7978  0.8159  0.3742
O  0.8159  0.7978  0.6258
O  0.8159  0.7978  0.8742
F  0.2912  0.7088  0.2500
F  0.7088  0.2912  0.7500

Largest 8 diffraction maxima, in order of rising 2θ, 2θ = 10–90°:
2θ 26.85, I = 94
2θ 27.80, I = 93
2θ 35.60, I = 100
2θ 39.04, I = 19
2θ 53.31, I = 55
2θ 54.39, I = 54
2θ 61.60, I = 15
2θ 68.48, I = 47

7.
Structure and theoretical PXRD pattern of Fe5O8F2 (a cell relaxed with PBE+U; CuKα).
Neutral-atom scattering factors, no anomalous dispersion.

Cell lengths 4.6085, 5.4911, 12.9276 Å; angles 101.63, 90.04, 90.25 degrees
Atoms (fractional coordinates):
Fe  0.0000  0.0000  0.0000
Fe  0.0126  0.3849  0.5947
Fe  0.0259  0.8099  0.2098
Fe  0.4785  0.7052  0.8044
Fe  0.4848  0.9068  0.5978
Fe  0.5000  0.5000  0.0000
Fe  0.5152  0.0932  0.4022
Fe  0.5215  0.2948  0.1956
Fe  0.9741  0.1901  0.7902
Fe  0.9874  0.6151  0.4053
O  0.1796  0.4505  0.7346
O  0.1924  0.6549  0.5394
O  0.1982  0.0563  0.1397
O  0.2149  0.8566  0.3457
O  0.2943  0.7499  0.9444
O  0.2970  0.9532  0.7350
O  0.3117  0.5506  0.1351
O  0.3126  0.1471  0.5348
O  0.6874  0.8529  0.4652
O  0.6883  0.4494  0.8649
O  0.7030  0.0468  0.2650
O  0.7057  0.2501  0.0556
O  0.7851  0.1434  0.6543
O  0.8018  0.9437  0.8603
O  0.8076  0.3451  0.4606
O  0.8204  0.5495  0.2654
F  0.2009  0.2494  0.9321
F  0.3138  0.3536  0.3414
F  0.6862  0.6464  0.6586
F  0.7991  0.7506  0.0679

Largest 8 diffraction maxima, in order of rising 2θ, 2θ = 10–90°:
2θ 27.25, I = 100
2θ 27.38, I = 98
2θ 35.45, I = 26
2θ 35.66, I = 53
2θ 35.79, I = 25
2θ 53.79, I = 29
2θ 54.14, I = 29
2θ 68.56, I = 20

8.
Structure and theoretical PXRD pattern of Fe4OF7 (a cell relaxed with PBE+U; CuKα).
Neutral-atom scattering factors, no anomalous dispersion.

Cell lengths 5.7996, 5.7996, 5.7996 Å; angles 113.36, 107.17, 107.96 degrees
Atoms (fractional coordinates):
Fe  0.0000  0.0000  0.0000
Fe  0.5000  0.2298  0.7298
Fe  0.5000  0.7702  0.2702
Fe  0.9696  0.4696  0.5000
O  0.6828  0.1828  0.5000
F  0.1948  0.2344  0.4515
F  0.1948  0.7433  0.9604
F  0.2752  0.7752  0.5000
F  0.3063  0.3063  0.0000
F  0.6891  0.6891  0.0000
F  0.7829  0.2344  0.0396
F  0.7829  0.7433  0.5485

Largest 8 diffraction maxima, in order of rising 2θ, 2θ = 10–90°:
2θ 25.88, I = 89
2θ 26.13, I = 92
2θ 33.67, I = 100
2θ 38.50, I = 21
2θ 50.82, I = 58
2θ 51.10, I = 56
2θ 53.21, I = 20
2θ 64.70, I = 40

9.
Structure and theoretical PXRD pattern of Fe5O2F8 (a cell relaxed with PBE+U; CuKα).
Neutral-atom scattering factors, no anomalous dispersion.

Cell lengths 16.0891, 4.7759, 4.7769 Å; angles 90.00, 90.00, 90.00 degrees
Atoms (fractional coordinates):
Fe  0.0000  0.2237  0.0000
Fe  0.0991  0.7718  0.5478
Fe  0.1938  0.2467  0.0193
Fe  0.3062  0.7533  0.5193
Fe  0.4009  0.2282  0.0478
Fe  0.5000  0.7763  0.5000
Fe  0.5991  0.2282  0.0478
Fe  0.6938  0.7533  0.5193
Fe  0.8062  0.2467  0.0193
Fe  0.9009  0.7718  0.5478
O  0.0941  0.0569  0.8335
O  0.4059  0.9431  0.3335
O  0.5941  0.9431  0.3335
O  0.9059  0.0569  0.8335
F  0.0000  0.5558  0.7325
F  0.0000  0.9571  0.3329
F  0.0909  0.4643  0.2393
F  0.1977  0.9467  0.3324
F  0.1998  0.5603  0.7202
F  0.3002  0.4397  0.2202
F  0.3023  0.0533  0.8324
F  0.4091  0.5357  0.7393
F  0.5000  0.0429  0.8329
F  0.5000  0.4442  0.2325
F  0.5909  0.5357  0.7393
F  0.6977  0.0533  0.8324
F  0.6998  0.4397  0.2202
F  0.8002  0.5603  0.7202
F  0.8023  0.9467  0.3324
F  0.9091  0.4643  0.2393

Largest 8 diffraction maxima, in order of rising 2θ, 2θ = 10–90°:
2θ 26.39, I = 100
2θ 33.58, I = 57
2θ 38.65, I = 21
2θ 51.34, I = 63
2θ 54.32, I = 19
2θ 64.11, I = 13
2θ 65.39, I = 11
2θ 65.41, I = 11